YW2O9: calculated X-ray diffraction stick pattern (Cu Kα), based on a cell relaxed with PBE+U.
Peak positions follow from Bragg's law for the DFT cell and can differ from measured ones.

Structure:
```
YW2O9
1.0
6.127 0.000 0.000
0.000 8.642 0.000
-1.616 0.000 6.466
Y W O
2 4 18
Direct
0.230 0.250 0.284 Y
0.770 0.750 0.716 Y
0.287 0.052 0.816 W
0.287 0.448 0.816 W
0.713 0.552 0.184 W
0.713 0.948 0.184 W
0.074 0.582 0.838 O
0.074 0.918 0.838 O
0.160 0.250 0.885 O
0.230 0.076 0.541 O
0.230 0.424 0.541 O
0.400 0.750 0.411 O
0.437 0.750 0.220 O
0.448 0.077 0.139 O
0.448 0.423 0.139 O
0.552 0.577 0.861 O
0.552 0.923 0.861 O
0.563 0.250 0.780 O
0.600 0.250 0.589 O
0.770 0.576 0.459 O
0.770 0.924 0.459 O
0.840 0.750 0.115 O
0.926 0.082 0.162 O
0.926 0.418 0.162 O
```

Top 6 peaks for 15 to 90 degrees two-theta, by intensity:
27.22 deg, I 100.0, hkl 1 2 -1; 18.11 deg, I 78.5, hkl 1 1 0; 17.65 deg, I 64.6, hkl 1 0 -1; 30.76 deg, I 43.0, hkl 1 2 1; 34.63 deg, I 42.6, hkl 1 0 2; 43.63 deg, I 38.1, hkl 2 3 -1